Starting from DFT lattice parameters and positions (PBE), the powder XRD pattern of PrAl22O34 was calculated for Cu Kα X-rays.
Peak positions follow from Bragg's law for the DFT cell and can differ from measured ones.

Atomic structure:
a = 5.6503 Å, b = 9.7816 Å, c = 11.8010 Å
α = 105.68°, β = 90.20°, γ = 90.05°
Space group P1 (No. 1)
One atom of each set of equivalent atoms:
1 Pr 0.0000 0.0000 0.0000 [1 per cell]
2 Al 0.1870 0.5379 0.3021 [1 per cell]
3 Al 0.1939 0.8419 0.7250 [1 per cell]
4 Al 0.1950 0.0407 0.3120 [1 per cell]
5 Al 0.1964 0.3485 0.7393 [1 per cell]
6 Al 0.4361 0.2407 0.1667 [1 per cell]
7 Al 0.4405 0.7899 0.3049 [1 per cell]
8 Al 0.4417 0.0440 0.5708 [1 per cell]
9 Al 0.4421 0.1409 0.8768 [1 per cell]
10 Al 0.4416 0.3434 0.4708 [1 per cell]
11 Al 0.4428 0.6898 0.5175 [1 per cell]
12 Al 0.4444 0.5958 0.7390 [1 per cell]
13 Al 0.6882 0.0394 0.3079 [1 per cell]
14 Al 0.6910 0.5369 0.3006 [1 per cell]
15 Al 0.6920 0.8448 0.7295 [1 per cell]
16 Al 0.6931 0.3492 0.7394 [1 per cell]
17 Al 0.9385 0.2917 0.3044 [1 per cell]
18 Al 0.9400 0.7478 0.1690 [1 per cell]
19 Al 0.9404 0.8425 0.4666 [1 per cell]
20 Al 0.9408 0.5413 0.5680 [1 per cell]
21 Al 0.9417 0.0955 0.7304 [1 per cell]
22 Al 0.9416 0.1955 0.5220 [1 per cell]
23 Al 0.9456 0.6452 0.8751 [1 per cell]
24 O 0.1756 0.2384 0.4219 [1 per cell]
25 O 0.1773 0.1465 0.6214 [1 per cell]
26 O 0.1862 0.0326 0.8107 [1 per cell]
27 O 0.1889 0.3479 0.2315 [1 per cell]
28 O 0.1909 0.8518 0.2335 [1 per cell]
29 O 0.1943 0.5393 0.8142 [1 per cell]
30 O 0.2044 0.6478 0.6191 [1 per cell]
31 O 0.2052 0.7387 0.4207 [1 per cell]
32 O 0.3429 0.1635 0.0209 [1 per cell]
33 O 0.4384 0.6004 0.2358 [1 per cell]
34 O 0.4393 0.0968 0.2333 [1 per cell]
35 O 0.4416 0.5024 0.4211 [1 per cell]
36 O 0.4420 0.9913 0.4119 [1 per cell]
37 O 0.4432 0.3965 0.6342 [1 per cell]
38 O 0.4427 0.7866 0.8020 [1 per cell]
39 O 0.4430 0.8835 0.6203 [1 per cell]
40 O 0.4461 0.2866 0.8135 [1 per cell]
41 O 0.6756 0.7386 0.4203 [1 per cell]
42 O 0.6794 0.6480 0.6203 [1 per cell]
43 O 0.6893 0.3460 0.2257 [1 per cell]
44 O 0.6894 0.8504 0.2330 [1 per cell]
45 O 0.6951 0.5398 0.8147 [1 per cell]
46 O 0.7044 0.0363 0.8197 [1 per cell]
47 O 0.7076 0.1460 0.6217 [1 per cell]
48 O 0.7077 0.2386 0.4201 [1 per cell]
49 O 0.9380 0.4895 0.4068 [1 per cell]
50 O 0.9390 0.5965 0.2254 [1 per cell]
51 O 0.9397 0.8964 0.6292 [1 per cell]
52 O 0.9411 0.0063 0.4213 [1 per cell]
53 O 0.9417 0.3834 0.6209 [1 per cell]
54 O 0.9437 0.0974 0.2317 [1 per cell]
55 O 0.9450 0.2842 0.8050 [1 per cell]
56 O 0.9454 0.7960 0.8116 [1 per cell]
57 O 0.9461 0.7471 0.0211 [1 per cell]

The 6 most intense peaks (2θ = 10–90°), low angle first:
| 2θ/deg | I_rel | index |
| --- | --- | --- |
| 10.5 | 82 | 0 1 -1 |
| 15.6 | 100 | 0 0 2 |
| 31.7 | 88 | 1 3 -1 |
| 34.2 | 88 | 1 1 -4 |
| 35.6 | 84 | 1 -3 3 |
| 66.2 | 69 | 4 0 0 |

***

Starting from DFT lattice parameters and positions (PBE), the powder XRD pattern of LaGa2Pd2 was calculated for Cu Kα X-rays.
Peak positions follow from Bragg's law for the DFT cell and can differ from measured ones.

Atomic structure:
a = 4.4297 Å, b = 4.4297 Å, c = 10.1754 Å
α = 90.00°, β = 90.00°, γ = 90.00°
Space group P4/nmm (No. 129, origin choice 2)
One atom of each set of equivalent atoms:
1 La 0.2500 0.2500 0.2474 [2 per cell]
2 Ga 0.2500 0.2500 0.6250 [2 per cell]
3 Ga 0.2500 0.7500 0.0000 [2 per cell]
4 Pd 0.2500 0.2500 0.8714 [2 per cell]
5 Pd 0.2500 0.7500 0.5000 [2 per cell]

The 6 most intense peaks (2θ = 10–90°), low angle first:
| 2θ/deg | I_rel | index |
| --- | --- | --- |
| 33.3 | 66 | 1 0 3 |
| 33.6 | 100 | 1 1 2 |
| 40.7 | 70 | 2 0 0 |
| 49.3 | 25 | 1 0 5 |
| 53.6 | 34 | 2 1 3 |
| 69.6 | 23 | 3 1 2 |

***

Starting from DFT lattice parameters and positions (PBE), the powder XRD pattern of SmBi3Pb was calculated for Cu Kα X-rays.
Peak positions follow from Bragg's law for the DFT cell and can differ from measured ones.

Atomic structure:
a = 10.3929 Å, b = 6.2161 Å, c = 10.4596 Å
α = 90.00°, β = 90.00°, γ = 90.00°
Space group Pbcm (No. 57)
One atom of each set of equivalent atoms:
1 Sm 0.1227 0.0041 0.2500 [4 per cell]
2 Bi 0.0319 0.7500 0.0000 [4 per cell]
3 Bi 0.2179 0.0009 0.7500 [4 per cell]
4 Bi 0.4325 0.6011 0.7500 [4 per cell]
5 Pb 0.3658 0.2500 0.0000 [4 per cell]

The 6 most intense peaks (2θ = 10–90°), low angle first:
| 2θ/deg | I_rel | index |
| --- | --- | --- |
| 28.1 | 58 | 2 1 2 |
| 30.8 | 62 | 3 1 1 |
| 31.0 | 60 | 3 0 2 |
| 33.5 | 100 | 0 2 2 |
| 34.3 | 57 | 0 0 4 |
| 39.4 | 32 | 3 1 3 |

***

Starting from DFT lattice parameters and positions (PBE), the powder XRD pattern of MnTl3Se3 was calculated for Cu Kα X-rays.
Peak positions follow from Bragg's law for the DFT cell and can differ from measured ones.

Atomic structure:
a = 9.0376 Å, b = 15.6248 Å, c = 6.4884 Å
α = 90.00°, β = 90.00°, γ = 90.00°
Space group Cmcm (No. 63)
One atom of each set of equivalent atoms:
1 Mn 0.0000 0.1670 0.2500 [4 per cell]
2 Tl 0.0000 0.2974 0.7500 [4 per cell]
3 Tl 0.1957 0.1012 0.7500 [8 per cell]
4 Se 0.0000 0.3191 0.2500 [4 per cell]
5 Se 0.2275 0.0908 0.2500 [8 per cell]

The 6 most intense peaks (2θ = 10–90°), low angle first:
| 2θ/deg | I_rel | index |
| --- | --- | --- |
| 22.7 | 96 | 0 4 0 |
| 26.6 | 53 | 0 4 1 |
| 27.5 | 100 | 0 0 2 |
| 30.2 | 89 | 3 1 0 |
| 36.0 | 59 | 0 4 2 |
| 41.3 | 78 | 3 1 2 |

***

Starting from DFT lattice parameters and positions (PBE), the powder XRD pattern of Sr2AcMg9 was calculated for Cu Kα X-rays.
Peak positions follow from Bragg's law for the DFT cell and can differ from measured ones.

Atomic structure:
a = 6.3304 Å, b = 6.3304 Å, c = 30.4718 Å
α = 90.00°, β = 90.00°, γ = 120.00°
Space group R-3m (No. 166, hexagonal axes)
One atom of each set of equivalent atoms:
1 Sr 0.0000 0.0000 0.1423 [6 per cell]
2 Ac 0.0000 0.0000 0.0000 [3 per cell]
3 Mg 0.0000 0.0000 0.3338 [6 per cell]
4 Mg 0.0000 0.0000 0.5000 [3 per cell]
5 Mg 0.0014 0.5007 0.9187 [18 per cell]

The 6 most intense peaks (2θ = 10–90°), low angle first:
| 2θ/deg | I_rel | index |
| --- | --- | --- |
| 16.4 | 70 | 1 0 1 |
| 26.1 | 68 | 1 0 7 |
| 28.2 | 66 | 1 1 0 |
| 28.5 | 48 | 0 1 8 |
| 32.8 | 43 | 0 2 1 |
| 33.4 | 100 | 1 1 6 |

***

Starting from DFT lattice parameters and positions (PBE), the powder XRD pattern of Na2MoCl7 was calculated for Cu Kα X-rays.
Peak positions follow from Bragg's law for the DFT cell and can differ from measured ones.

Atomic structure:
a = 9.7865 Å, b = 10.7096 Å, c = 10.3629 Å
α = 90.00°, β = 97.66°, γ = 90.00°
Space group C2/c (No. 15)
One atom of each set of equivalent atoms:
1 Na 0.2111 0.0706 0.1346 [8 per cell]
2 Mo 0.0000 0.2013 0.7500 [4 per cell]
3 Cl 0.0000 0.4342 0.7500 [4 per cell]
4 Cl 0.0777 0.2688 0.9720 [8 per cell]
5 Cl 0.0947 0.0105 0.8708 [8 per cell]
6 Cl 0.2252 0.2058 0.6876 [8 per cell]

The 6 most intense peaks (2θ = 10–90°), low angle first:
| 2θ/deg | I_rel | index |
| --- | --- | --- |
| 12.3 | 24 | 1 1 0 |
| 14.3 | 100 | 1 1 -1 |
| 15.7 | 40 | 1 1 1 |
| 17.3 | 23 | 0 0 2 |
| 29.0 | 24 | 3 1 -1 |
| 38.9 | 34 | 4 0 -2 |

***

Starting from DFT lattice parameters and positions (PBE), the powder XRD pattern of Nd2Th2Te7 was calculated for Cu Kα X-rays.
Peak positions follow from Bragg's law for the DFT cell and can differ from measured ones.

Atomic structure:
a = 4.4719 Å, b = 16.2452 Å, c = 9.9204 Å
α = 90.00°, β = 90.00°, γ = 90.00°
Space group Imm2 (No. 44)
One atom of each set of equivalent atoms:
1 Nd 0.0000 0.2367 0.0000 [4 per cell]
2 Th 0.0000 0.0000 0.7625 [2 per cell]
3 Th 0.0000 0.5000 0.8104 [2 per cell]
4 Te 0.0000 0.0000 0.0772 [2 per cell]
5 Te 0.0000 0.1083 0.4834 [4 per cell]
6 Te 0.0000 0.3180 0.7024 [4 per cell]
7 Te 0.0000 0.3625 0.3013 [4 per cell]

The 6 most intense peaks (2θ = 10–90°), low angle first:
| 2θ/deg | I_rel | index |
| --- | --- | --- |
| 27.4 | 34 | 1 1 2 |
| 31.1 | 100 | 1 4 1 |
| 31.6 | 34 | 1 3 2 |
| 35.5 | 49 | 1 2 3 |
| 37.9 | 37 | 0 6 2 |
| 40.3 | 33 | 2 0 0 |

***

Starting from DFT lattice parameters and positions (PBE), the powder XRD pattern of RbBaTaS4 was calculated for Cu Kα X-rays.
Peak positions follow from Bragg's law for the DFT cell and can differ from measured ones.

Atomic structure:
a = 9.4932 Å, b = 7.1552 Å, c = 12.7116 Å
α = 90.00°, β = 90.00°, γ = 90.00°
Space group Pnma (No. 62)
One atom of each set of equivalent atoms:
1 Rb 0.1356 0.2500 0.0837 [4 per cell]
2 Ba 0.0153 0.7500 0.3235 [4 per cell]
3 Ta 0.2268 0.2500 0.4201 [4 per cell]
4 S 0.0133 0.7500 0.5809 [4 per cell]
5 S 0.1914 0.0081 0.8356 [8 per cell]
6 S 0.1926 0.7500 0.0896 [4 per cell]

The 6 most intense peaks (2θ = 10–90°), low angle first:
| 2θ/deg | I_rel | index |
| --- | --- | --- |
| 16.8 | 47 | 1 0 2 |
| 17.0 | 75 | 1 1 1 |
| 23.6 | 76 | 2 1 1 |
| 24.4 | 100 | 0 1 3 |
| 24.9 | 90 | 0 2 0 |
| 31.7 | 59 | 3 1 1 |

***

Starting from DFT lattice parameters and positions (PBE), the powder XRD pattern of Al2Tc2Ni was calculated for Cu Kα X-rays.
Peak positions follow from Bragg's law for the DFT cell and can differ from measured ones.

Atomic structure:
a = 6.3115 Å, b = 6.3115 Å, c = 3.4916 Å
α = 90.00°, β = 90.00°, γ = 90.00°
Space group P4/mbm (No. 127)
One atom of each set of equivalent atoms:
1 Al 0.1383 0.3617 0.0000 [4 per cell]
2 Tc 0.1681 0.6681 0.5000 [4 per cell]
3 Ni 0.0000 0.0000 0.0000 [2 per cell]

The 6 most intense peaks (2θ = 10–90°), low angle first:
| 2θ/deg | I_rel | index |
| --- | --- | --- |
| 31.7 | 34 | 2 1 0 |
| 32.6 | 22 | 1 1 1 |
| 38.5 | 43 | 2 0 1 |
| 41.1 | 100 | 2 1 1 |
| 45.4 | 39 | 3 1 0 |
| 71.8 | 19 | 3 1 2 |

***

Starting from DFT lattice parameters and positions (PBE), the powder XRD pattern of Cs2SnPbSe4 was calculated for Cu Kα X-rays.
Peak positions follow from Bragg's law for the DFT cell and can differ from measured ones.

Atomic structure:
a = 7.0303 Å, b = 15.1351 Å, c = 26.2406 Å
α = 90.00°, β = 90.00°, γ = 90.00°
Space group Fddd (No. 70, origin choice 2)
One atom of each set of equivalent atoms:
1 Cs 0.1250 0.1250 0.3077 [16 per cell]
2 Sn 0.1250 0.1250 0.6250 [8 per cell]
3 Pb 0.1250 0.1250 0.1250 [8 per cell]
4 Se 0.0820 0.2715 0.8201 [32 per cell]

The 6 most intense peaks (2θ = 10–90°), low angle first:
| 2θ/deg | I_rel | index |
| --- | --- | --- |
| 13.5 | 100 | 0 0 4 |
| 23.5 | 77 | 0 2 6 |
| 24.0 | 40 | 1 3 3 |
| 27.6 | 68 | 1 3 5 |
| 28.0 | 44 | 2 2 0 |
| 32.7 | 51 | 2 0 6 |

***

Starting from DFT lattice parameters and positions (PBE), the powder XRD pattern of Nd2DyBi3 was calculated for Cu Kα X-rays.
Peak positions follow from Bragg's law for the DFT cell and can differ from measured ones.

Atomic structure:
a = 9.1276 Å, b = 12.9195 Å, c = 27.4011 Å
α = 90.00°, β = 90.00°, γ = 90.00°
Space group Fddd (No. 70, origin choice 2)
One atom of each set of equivalent atoms:
1 Nd 0.1250 0.1250 0.0425 [16 per cell]
2 Nd 0.1250 0.1250 0.3740 [16 per cell]
3 Dy 0.1250 0.1250 0.5415 [16 per cell]
4 Bi 0.1181 0.3750 0.8750 [16 per cell]
5 Bi 0.1216 0.3720 0.7095 [32 per cell]

The 6 most intense peaks (2θ = 10–90°), low angle first:
| 2θ/deg | I_rel | index |
| --- | --- | --- |
| 27.6 | 100 | 2 0 6 |
| 39.5 | 78 | 2 4 6 |
| 48.9 | 29 | 0 4 12 |
| 57.0 | 14 | 0 8 0 |
| 64.5 | 37 | 2 8 6 |
| 71.6 | 28 | 2 4 18 |